Ba2Mg2Tl2W3O10: calculated XRD peak list (Cu Kα (λ = 1.5418 Å)), based on the GGA+U geometry in Alexandria.

Top 6 peaks for 2θ from 10° to 80°, in order of rising 2θ:
(hkl)  d [Å]  I_rel
1 0 -1  3.965  42
0 1 -4  3.319  62
1 0 -4  3.219  50
0 1 4  2.979  50
1 0 4  2.906  65
1 1 -1  2.883  100

Crystal structure
Unit cell a=3.9841 b=4.1790 c=19.3334 alpha=96.16 beta=95.88 gamma=90.12
Fractional coordinates of all 19 atoms:
Ba: 0.0000 0.0000 0.0000
Ba: 0.3210 0.3210 0.6378
Mg: 0.1311 0.1652 0.2236
Mg: 0.2285 0.2621 0.4143
Tl: 0.4360 0.3382 0.8750
Tl: 0.8808 0.7822 0.7627
W: 0.5854 0.6278 0.1519
W: 0.5901 0.8065 0.3190
W: 0.7542 0.7955 0.4861
O: 0.0774 0.9231 0.3190
O: 0.0957 0.6255 0.1775
O: 0.2390 0.7679 0.4606
O: 0.3762 0.1569 0.7537
O: 0.5100 0.3370 0.3192
O: 0.5258 0.5901 0.0505
O: 0.6067 0.1381 0.1712
O: 0.7563 0.2865 0.4669
O: 0.7959 0.8578 0.5875
O: 0.9384 0.7222 0.8840